No. 1
This entry pairs a crystal structure of Zr3Pa5N8 with its simulated powder diffractogram. Radiation: Cu Kα X-rays. Structure: DFT lattice parameters and positions (PBE).
No peak broadening, texture or thermal motion is included.

Structure:
a = 6.863 Å, b = 6.863 Å, c = 6.863 Å
α = 59.28°, β = 59.28°, γ = 59.28°
Positions (direct):
Zr  0.000  0.500  0.500
Zr  0.500  0.000  0.500
Zr  0.500  0.500  0.000
Pa  0.000  0.000  0.000
Pa  0.000  0.000  0.500
Pa  0.000  0.500  0.000
Pa  0.500  0.000  0.000
Pa  0.500  0.500  0.500
N  0.249  0.249  0.736
N  0.249  0.736  0.249
N  0.255  0.255  0.255
N  0.264  0.751  0.751
N  0.736  0.249  0.249
N  0.745  0.745  0.745
N  0.751  0.264  0.751
N  0.751  0.751  0.264

The 10 most intense peaks (2θ from 10° to 90°), most intense first:
2θ/deg, d_spacing, Rel. int.
32.2, 2.776, 100.0
37.3, 2.413, 92.7
31.8, 2.817, 34.7
53.4, 1.715, 32.6
54.0, 1.697, 31.5
64.1, 1.453, 30.1
63.5, 1.465, 17.0
67.5, 1.388, 16.1
15.7, 5.634, 15.1
64.3, 1.448, 14.8

---

No. 2
This entry pairs a crystal structure of Mn3CuCl8 with its simulated powder diffractogram. Radiation: Cu Kα X-rays. Structure: DFT lattice parameters and positions (PBE).
No peak broadening, texture or thermal motion is included.

Structure:
a = 7.255 Å, b = 7.255 Å, c = 7.798 Å
α = 119.36°, β = 119.36°, γ = 61.95°
Positions (direct):
Mn  0.000  0.000  0.000
Mn  0.000  0.500  0.000
Mn  0.500  0.000  0.000
Cu  0.500  0.500  0.000
Cl  0.227  0.751  0.216
Cl  0.249  0.249  0.222
Cl  0.249  0.773  0.784
Cl  0.272  0.272  0.794
Cl  0.728  0.728  0.206
Cl  0.751  0.227  0.216
Cl  0.751  0.751  0.778
Cl  0.773  0.249  0.784

The 10 most intense peaks (2θ from 10° to 90°), most intense first:
2θ/deg, d_spacing, Rel. int.
13.8, 6.397, 100.0
33.3, 2.694, 64.0
35.2, 2.551, 27.0
50.4, 1.811, 17.9
28.2, 3.169, 17.8
48.0, 1.897, 17.6
42.9, 2.108, 16.4
48.8, 1.867, 9.9
46.7, 1.945, 9.7
61.6, 1.507, 8.7

---

No. 3
This entry pairs a crystal structure of La3AlB2N6 with its simulated powder diffractogram. Radiation: Cu Kα X-rays. Structure: DFT lattice parameters and positions (PBE).
No peak broadening, texture or thermal motion is included.

Structure:
a = 5.410 Å, b = 5.410 Å, c = 6.249 Å
α = 90.00°, β = 90.00°, γ = 120.00°
Positions (direct):
La  0.000  0.000  0.000
La  0.333  0.667  0.675
La  0.667  0.333  0.325
Al  0.000  0.000  0.500
B  0.333  0.667  0.273
B  0.667  0.333  0.727
N  0.177  0.354  0.297
N  0.177  0.823  0.297
N  0.354  0.177  0.703
N  0.646  0.823  0.297
N  0.823  0.177  0.703
N  0.823  0.646  0.703

The 10 most intense peaks (2θ from 10° to 90°), most intense first:
2θ/deg, d_spacing, Rel. int.
23.7, 3.749, 100.0
33.1, 2.705, 69.0
34.5, 2.599, 61.0
41.2, 2.193, 42.2
48.6, 1.874, 32.6
53.8, 1.704, 23.9
60.1, 1.541, 23.8
55.7, 1.650, 23.4
59.2, 1.562, 13.3
43.4, 2.083, 11.7

---

No. 4
This entry pairs a crystal structure of La2CuSn3Pd4 with its simulated powder diffractogram. Radiation: Cu Kα X-rays. Structure: DFT lattice parameters and positions (PBE).
No peak broadening, texture or thermal motion is included.

Structure:
a = 4.607 Å, b = 4.607 Å, c = 10.494 Å
α = 90.00°, β = 90.00°, γ = 90.00°
Positions (direct):
La  0.000  0.500  0.242
La  0.500  0.000  0.758
Cu  0.500  0.500  0.000
Sn  0.000  0.000  0.000
Sn  0.000  0.500  0.629
Sn  0.500  0.000  0.371
Pd  0.000  0.000  0.500
Pd  0.000  0.500  0.878
Pd  0.500  0.000  0.122
Pd  0.500  0.500  0.500

The 10 most intense peaks (2θ from 10° to 90°), most intense first:
2θ/deg, d_spacing, Rel. int.
32.3, 2.768, 100.0
39.1, 2.303, 82.6
32.1, 2.786, 75.5
51.5, 1.775, 40.1
44.3, 2.043, 31.9
56.5, 1.629, 28.2
47.6, 1.910, 26.0
66.6, 1.404, 24.4
63.2, 1.470, 22.3
27.4, 3.257, 17.3

---

No. 5
This entry pairs a crystal structure of MnMoPt with its simulated powder diffractogram. Radiation: Cu Kα X-rays. Structure: DFT lattice parameters and positions (PBE).
No peak broadening, texture or thermal motion is included.

Structure:
a = 4.813 Å, b = 4.813 Å, c = 4.813 Å
α = 147.06°, β = 133.06°, γ = 58.53°
Positions (direct):
Mn  0.000  0.000  0.000
Mo  0.341  0.341  0.000
Pt  0.666  0.666  0.000

The 10 most intense peaks (2θ from 10° to 90°), most intense first:
2θ/deg, d_spacing, Rel. int.
39.9, 2.261, 100.0
40.6, 2.223, 95.6
46.5, 1.954, 64.1
25.5, 3.488, 41.0
68.6, 1.368, 39.4
47.4, 1.917, 30.3
21.2, 4.199, 25.0
81.2, 1.185, 24.6
82.6, 1.168, 23.9
34.6, 2.596, 19.3